1.
# Al6CO7
Theoretical X-ray diffraction stick pattern, copper Kα. Input: a crystal structure in Alexandria, relaxed with PBE.
No peak broadening, texture or thermal motion is included.

Principal peaks in the range 10 to 80 degrees two-theta, sorted by position:
two_theta, intensity
13.8, 37.4
23.2, 36.2
27.9, 100.0
34.1, 70.1
34.6, 66.4
36.3, 57.3
40.6, 27.6
42.5, 28.7
46.7, 43.8
60.9, 96.2
65.5, 41.7
68.2, 38.0

Structural model:
```
data_Al6CO7
_chemical_formula_sum 'Al6 C1 O7'
_space_group_name_H-M_alt 'P 1'
_space_group_IT_number 1
_cell_length_a 19.281
_cell_length_b 19.281
_cell_length_c 19.281
_cell_angle_alpha 9.06
_cell_angle_beta 9.06
_cell_angle_gamma 9.06
loop_
_space_group_symop_operation_xyz
'x,y,z'
loop_
_atom_site_label
_atom_site_type_symbol
_atom_site_fract_x
_atom_site_fract_y
_atom_site_fract_z
Al1 Al 0.000 0.000 0.000
Al2 Al 0.094 0.094 0.094
Al3 Al 0.383 0.383 0.383
Al4 Al 0.493 0.493 0.493
Al5 Al 0.616 0.616 0.616
Al6 Al 0.878 0.878 0.878
C1 C 0.060 0.060 0.060
O1 O 0.149 0.149 0.149
O2 O 0.347 0.347 0.347
O3 O 0.437 0.437 0.437
O4 O 0.555 0.555 0.555
O5 O 0.647 0.647 0.647
O6 O 0.848 0.848 0.848
O7 O 0.941 0.941 0.941
```

---

2.
# Sc3Al3C2O5
Theoretical X-ray diffraction stick pattern, copper Kα. Input: a crystal structure in Alexandria, relaxed with PBE.
No peak broadening, texture or thermal motion is included.

Principal peaks in the range 10 to 80 degrees two-theta, sorted by position:
two_theta, intensity
16.7, 28.8
28.1, 18.8
31.7, 18.7
32.7, 25.3
33.6, 100.0
33.8, 20.7
34.6, 24.8
37.4, 24.9
42.7, 48.1
49.2, 19.3
56.2, 75.8
59.2, 26.5

Structural model:
```
data_Sc3Al3C2O5
_chemical_formula_sum 'Sc6 Al6 C4 O10'
_space_group_name_H-M_alt 'P 1'
_space_group_IT_number 1
_cell_length_a 3.274
_cell_length_b 3.274
_cell_length_c 31.786
_cell_angle_alpha 90.00
_cell_angle_beta 90.00
_cell_angle_gamma 120.00
loop_
_space_group_symop_operation_xyz
'x,y,z'
loop_
_atom_site_label
_atom_site_type_symbol
_atom_site_fract_x
_atom_site_fract_y
_atom_site_fract_z
Sc1 Sc 0.000 0.000 0.000
Sc2 Sc 0.000 0.000 0.500
Sc3 Sc 0.333 0.667 0.159
Sc4 Sc 0.333 0.667 0.341
Sc5 Sc 0.667 0.333 0.659
Sc6 Sc 0.667 0.333 0.841
Al1 Al 0.000 0.000 0.250
Al2 Al 0.000 0.000 0.750
Al3 Al 0.333 0.667 0.569
Al4 Al 0.333 0.667 0.931
Al5 Al 0.667 0.333 0.069
Al6 Al 0.667 0.333 0.431
C1 C 0.333 0.667 0.046
C2 C 0.333 0.667 0.454
C3 C 0.667 0.333 0.546
C4 C 0.667 0.333 0.954
O1 O 0.000 0.000 0.191
O2 O 0.000 0.000 0.309
O3 O 0.000 0.000 0.691
O4 O 0.000 0.000 0.809
O5 O 0.333 0.667 0.250
O6 O 0.333 0.667 0.627
O7 O 0.333 0.667 0.873
O8 O 0.667 0.333 0.127
O9 O 0.667 0.333 0.373
O10 O 0.667 0.333 0.750
```

---

3.
# ScAlCO
Theoretical X-ray diffraction stick pattern, copper Kα. Input: a crystal structure in Alexandria, relaxed with PBE.
No peak broadening, texture or thermal motion is included.

Principal peaks in the range 10 to 80 degrees two-theta, sorted by position:
two_theta, intensity
17.3, 32.4
32.9, 77.8
35.0, 22.7
36.3, 100.0
41.5, 74.8
47.9, 19.3
55.4, 24.6
56.4, 60.1
63.7, 30.0
68.2, 19.4
69.0, 13.8
72.4, 11.5

Structural model:
```
data_ScAlCO
_chemical_formula_sum 'Sc2 Al2 C2 O2'
_space_group_name_H-M_alt 'P 1'
_space_group_IT_number 1
_cell_length_a 3.261
_cell_length_b 3.261
_cell_length_c 10.247
_cell_angle_alpha 90.00
_cell_angle_beta 90.00
_cell_angle_gamma 120.00
loop_
_space_group_symop_operation_xyz
'x,y,z'
loop_
_atom_site_label
_atom_site_type_symbol
_atom_site_fract_x
_atom_site_fract_y
_atom_site_fract_z
Sc1 Sc 0.333 0.667 0.000
Sc2 Sc 0.667 0.333 0.500
Al1 Al 0.000 0.000 0.216
Al2 Al 0.000 0.000 0.716
C1 C 0.333 0.667 0.637
C2 C 0.667 0.333 0.137
O1 O 0.000 0.000 0.393
O2 O 0.000 0.000 0.893
```

---

4.
# Sc2Al4C3O3
Theoretical X-ray diffraction stick pattern, copper Kα. Input: a crystal structure in Alexandria, relaxed with PBE.
No peak broadening, texture or thermal motion is included.

Principal peaks in the range 10 to 80 degrees two-theta, sorted by position:
two_theta, intensity
12.4, 23.7
30.8, 22.3
31.8, 54.8
32.5, 72.7
35.1, 55.3
37.4, 77.2
44.5, 18.9
46.1, 59.0
54.6, 100.0
65.1, 40.0
68.3, 20.1
73.0, 22.1

Structural model:
```
data_Sc2Al4C3O3
_chemical_formula_sum 'Sc2 Al4 C3 O3'
_space_group_name_H-M_alt 'P 1'
_space_group_IT_number 1
_cell_length_a 14.393
_cell_length_b 14.393
_cell_length_c 14.393
_cell_angle_alpha 13.42
_cell_angle_beta 13.42
_cell_angle_gamma 13.42
loop_
_space_group_symop_operation_xyz
'x,y,z'
loop_
_atom_site_label
_atom_site_type_symbol
_atom_site_fract_x
_atom_site_fract_y
_atom_site_fract_z
Sc1 Sc 0.000 0.000 0.000
Sc2 Sc 0.499 0.499 0.499
Al1 Al 0.235 0.235 0.235
Al2 Al 0.384 0.384 0.384
Al3 Al 0.617 0.617 0.617
Al4 Al 0.770 0.770 0.770
C1 C 0.290 0.290 0.290
C2 C 0.429 0.429 0.429
C3 C 0.694 0.694 0.694
O1 O 0.194 0.194 0.194
O2 O 0.573 0.573 0.573
O3 O 0.815 0.815 0.815
```

---

5.
# AlSi5C2O12
Theoretical X-ray diffraction stick pattern, copper Kα. Input: a crystal structure in Alexandria, relaxed with PBE.
No peak broadening, texture or thermal motion is included.

Principal peaks in the range 10 to 80 degrees two-theta, sorted by position:
two_theta, intensity
13.7, 22.5
13.8, 100.0
14.0, 86.2
14.3, 57.1
19.6, 17.6
19.8, 22.0
23.8, 51.7
24.2, 52.4
24.3, 13.3
24.6, 35.6
31.4, 24.3
35.0, 21.2

Structural model:
```
data_AlSi5C2O12
_chemical_formula_sum 'Al1 Si5 C2 O12'
_space_group_name_H-M_alt 'P 1'
_space_group_IT_number 1
_cell_length_a 7.685
_cell_length_b 7.685
_cell_length_c 7.838
_cell_angle_alpha 109.44
_cell_angle_beta 109.44
_cell_angle_gamma 107.87
loop_
_space_group_symop_operation_xyz
'x,y,z'
loop_
_atom_site_label
_atom_site_type_symbol
_atom_site_fract_x
_atom_site_fract_y
_atom_site_fract_z
Al1 Al 0.000 0.000 0.000
Si1 Si 0.049 0.241 0.739
Si2 Si 0.508 0.209 0.256
Si3 Si 0.549 0.451 0.000
Si4 Si 0.759 0.951 0.261
Si5 Si 0.791 0.492 0.744
C1 C 0.334 0.503 0.479
C2 C 0.497 0.666 0.521
O1 O 0.262 0.100 0.169
O2 O 0.303 0.357 0.836
O3 O 0.575 0.323 0.128
O4 O 0.588 0.036 0.256
O5 O 0.614 0.386 0.500
O6 O 0.643 0.697 0.164
O7 O 0.677 0.425 0.872
O8 O 0.861 0.019 0.132
O9 O 0.900 0.738 0.831
O10 O 0.942 0.058 0.500
O11 O 0.964 0.412 0.744
O12 O 0.981 0.139 0.868
```

---

6.
# TmAlCO
Theoretical X-ray diffraction stick pattern, copper Kα. Input: a crystal structure in Alexandria, relaxed with PBE.
No peak broadening, texture or thermal motion is included.

Principal peaks in the range 10 to 80 degrees two-theta, sorted by position:
two_theta, intensity
17.0, 76.7
31.5, 100.0
34.4, 18.7
35.0, 42.5
40.1, 63.1
46.5, 10.8
53.8, 51.5
56.9, 20.3
63.8, 13.8
65.5, 18.6
69.2, 12.4
70.8, 9.8

Structural model:
```
data_TmAlCO
_chemical_formula_sum 'Tm2 Al2 C2 O2'
_space_group_name_H-M_alt 'P 1'
_space_group_IT_number 1
_cell_length_a 3.405
_cell_length_b 3.405
_cell_length_c 10.435
_cell_angle_alpha 90.00
_cell_angle_beta 90.00
_cell_angle_gamma 120.00
loop_
_space_group_symop_operation_xyz
'x,y,z'
loop_
_atom_site_label
_atom_site_type_symbol
_atom_site_fract_x
_atom_site_fract_y
_atom_site_fract_z
Tm1 Tm 0.333 0.667 0.000
Tm2 Tm 0.667 0.333 0.500
Al1 Al 0.000 0.000 0.281
Al2 Al 0.000 0.000 0.781
C1 C 0.333 0.667 0.354
C2 C 0.667 0.333 0.854
O1 O 0.000 0.000 0.107
O2 O 0.000 0.000 0.607
```

---

7.
# YPa2AlC4
Theoretical X-ray diffraction stick pattern, copper Kα. Input: a crystal structure in Alexandria, relaxed with PBE.
No peak broadening, texture or thermal motion is included.

Principal peaks in the range 10 to 80 degrees two-theta, sorted by position:
two_theta, intensity
14.9, 62.6
25.8, 30.8
27.2, 100.0
29.9, 84.0
30.6, 54.9
33.8, 26.6
34.5, 27.8
37.1, 63.5
41.0, 40.6
46.4, 37.5
51.7, 25.5
58.3, 25.1

Structural model:
```
data_YPa2AlC4
_chemical_formula_sum 'Y2 Pa4 Al2 C8'
_space_group_name_H-M_alt 'P 1'
_space_group_IT_number 1
_cell_length_a 6.116
_cell_length_b 6.116
_cell_length_c 11.878
_cell_angle_alpha 90.00
_cell_angle_beta 90.00
_cell_angle_gamma 145.61
loop_
_space_group_symop_operation_xyz
'x,y,z'
loop_
_atom_site_label
_atom_site_type_symbol
_atom_site_fract_x
_atom_site_fract_y
_atom_site_fract_z
Y1 Y 0.109 0.891 0.750
Y2 Y 0.891 0.109 0.250
Pa1 Pa 0.370 0.630 0.552
Pa2 Pa 0.370 0.630 0.948
Pa3 Pa 0.630 0.370 0.052
Pa4 Pa 0.630 0.370 0.448
Al1 Al 0.154 0.846 0.250
Al2 Al 0.846 0.154 0.750
C1 C 0.000 0.000 0.000
C2 C 0.000 0.000 0.500
C3 C 0.257 0.743 0.116
C4 C 0.257 0.743 0.384
C5 C 0.441 0.559 0.750
C6 C 0.559 0.441 0.250
C7 C 0.743 0.257 0.616
C8 C 0.743 0.257 0.884
```

---

8.
# Pr2Al2Tc2C
Theoretical X-ray diffraction stick pattern, copper Kα. Input: a crystal structure in Alexandria, relaxed with PBE.
No peak broadening, texture or thermal motion is included.

Principal peaks in the range 10 to 80 degrees two-theta, sorted by position:
two_theta, intensity
14.1, 20.5
23.1, 24.1
25.3, 16.3
29.8, 43.9
31.7, 27.7
32.2, 18.9
33.3, 88.7
33.8, 100.0
37.3, 58.3
43.2, 18.9
47.8, 32.2
62.2, 20.2

Structural model:
```
data_Pr2Al2Tc2C
_chemical_formula_sum 'Pr2 Al2 Tc2 C1'
_space_group_name_H-M_alt 'P 1'
_space_group_IT_number 1
_cell_length_a 6.057
_cell_length_b 6.057
_cell_length_c 7.739
_cell_angle_alpha 123.75
_cell_angle_beta 123.75
_cell_angle_gamma 36.64
loop_
_space_group_symop_operation_xyz
'x,y,z'
loop_
_atom_site_label
_atom_site_type_symbol
_atom_site_fract_x
_atom_site_fract_y
_atom_site_fract_z
Pr1 Pr 0.073 0.073 0.289
Pr2 Pr 0.927 0.927 0.711
Al1 Al 0.361 0.361 0.320
Al2 Al 0.639 0.639 0.680
Tc1 Tc 0.307 0.307 0.936
Tc2 Tc 0.693 0.693 0.064
C1 C 0.500 0.500 0.000
```

---

Which formula does entry 3 have? ScAlCO